(1)
Starting from a PBE-relaxed structure, the X-ray powder pattern of Tm12Zn6Bi was simulated for λ = 1.5418 Å (Cu Kα).
Lines closer than 0.1° are merged.

Largest 10 diffraction maxima, sorted by position, 2θ from 10° to 80°:
2θ/deg, I_rel, (hkl)
28.50, 315, 3 0 1
31.29, 568, 2 2 2
33.86, 1000, 3 1 2
36.28, 255, 4 0 0
38.57, 107, 3 3 0
46.77, 201, 5 0 1
53.98, 317, 5 3 0
55.68, 107, 6 0 0
57.35, 382, 5 2 3
66.79, 226, 5 3 4

Atomic structure:
```
data_Tm12Zn6Bi
_space_group_name_H-M_alt 'I m -3'
_space_group_IT_number 204
_space_group_name_Hall '-I 2 2 3'
_cell_length_a 9.9041
_cell_length_b 9.9041
_cell_length_c 9.9041
_cell_angle_alpha 90.00
_cell_angle_beta 90.00
_cell_angle_gamma 90.00
loop_
_atom_site_label
_atom_site_fract_x
_atom_site_fract_y
_atom_site_fract_z
_atom_site_occupancy
Tm1 0.0000 0.2931 0.1927 1
Zn1 0.0000 0.1234 0.5000 1
Bi1 0.0000 0.0000 0.0000 1
```


(2)
Starting from a PBE-relaxed structure, the X-ray powder pattern of Tm5ZnBi5 was simulated for λ = 1.5418 Å (Cu Kα).
Lines closer than 0.1° are merged.

Largest 10 diffraction maxima, sorted by position, 2θ from 10° to 80°:
2θ/deg, I_rel, (hkl)
29.00, 1000, 0 2 0
29.23, 453, 4 0 -2
39.65, 208, 2 0 -4
41.48, 384, 2 2 2
41.67, 354, 4 2 -2
43.52, 155, 6 0 0
49.89, 221, 2 2 -4
53.17, 164, 6 2 0
68.05, 90, 4 2 4
68.15, 90, 2 4 2

Atomic structure:
```
data_Tm5ZnBi5
_space_group_name_H-M_alt 'C 1 2/m 1'
_space_group_IT_number 12
_space_group_name_Hall '-C 2y'
_cell_length_a 13.2432
_cell_length_b 6.1511
_cell_length_c 9.0918
_cell_angle_alpha 90.00
_cell_angle_beta 109.58
_cell_angle_gamma 90.00
loop_
_atom_site_label
_atom_site_fract_x
_atom_site_fract_y
_atom_site_fract_z
_atom_site_occupancy
Tm1 0.0000 0.0000 0.0000 1
Tm2 0.1690 0.5000 0.3387 1
Tm3 0.1773 0.5000 0.8300 1
Zn1 0.0000 0.5000 0.0000 1
Bi1 0.0000 0.5000 0.5000 1
Bi2 0.1472 0.0000 0.3407 1
Bi3 0.1610 0.0000 0.8211 1
```


(3)
Starting from a PBE-relaxed structure, the X-ray powder pattern of UBi2 was simulated for λ = 1.5418 Å (Cu Kα).
Lines closer than 0.1° are merged.

Largest 10 diffraction maxima, sorted by position, 2θ from 10° to 80°:
2θ/deg, I_rel, (hkl)
28.14, 199, 1 1 0
29.87, 1000, 0 0 3
34.63, 680, 1 1 2
36.07, 201, 1 0 3
40.23, 451, 2 0 0
50.88, 309, 2 0 3
55.10, 208, 1 0 5
58.19, 174, 2 2 0
66.79, 285, 2 2 3
69.53, 191, 3 1 2

Atomic structure:
```
data_UBi2
_space_group_name_H-M_alt 'P 4/n m m'
_space_group_IT_number 129
_cell_length_a 4.4833
_cell_length_b 4.4833
_cell_length_c 8.9839
_cell_angle_alpha 90.00
_cell_angle_beta 90.00
_cell_angle_gamma 90.00
loop_
_space_group_symop_operation_xyz
'x,y,z'
'-x,-y,-z'
'-y+1/2,x,z'
'y+1/2,-x,-z'
'-x+1/2,-y+1/2,z'
'x+1/2,y+1/2,-z'
'y,-x+1/2,z'
'-y,x+1/2,-z'
'x+1/2,-y,-z'
'-x+1/2,y,z'
'-y,-x,-z'
'y,x,z'
'-x,y+1/2,-z'
'x,-y+1/2,z'
'y+1/2,x+1/2,-z'
'-y+1/2,-x+1/2,z'
loop_
_atom_site_label
_atom_site_fract_x
_atom_site_fract_y
_atom_site_fract_z
_atom_site_occupancy
U1 0.2500 0.2500 0.2161 1
Bi1 0.2500 0.2500 0.8554 1
Bi2 0.2500 0.7500 0.5000 1
```


(4)
Starting from a PBE-relaxed structure, the X-ray powder pattern of V4Bi3 was simulated for λ = 1.5418 Å (Cu Kα).
Lines closer than 0.1° are merged.

Largest 10 diffraction maxima, sorted by position, 2θ from 10° to 80°:
2θ/deg, I_rel, (hkl)
26.29, 332, 0 0 6
28.13, 370, 1 1 4
28.55, 266, 1 3 0
28.90, 1000, 0 4 3
31.16, 679, 1 1 5
39.21, 498, 1 3 6
39.82, 219, 1 5 2
42.47, 444, 1 3 7
42.60, 355, 2 0 0
52.75, 261, 1 7 3

Atomic structure:
```
data_V4Bi3
_space_group_name_H-M_alt 'C m c m'
_space_group_IT_number 63
_space_group_name_Hall '-C 2c 2'
_cell_length_a 4.2448
_cell_length_b 13.8682
_cell_length_c 20.3363
_cell_angle_alpha 90.00
_cell_angle_beta 90.00
_cell_angle_gamma 90.00
loop_
_atom_site_label
_atom_site_fract_x
_atom_site_fract_y
_atom_site_fract_z
_atom_site_occupancy
V1 0.0000 0.0000 0.0000 1
V2 0.0000 0.1018 0.2500 1
V3 0.0000 0.2954 0.1706 1
V4 0.0000 0.3980 0.5152 1
V5 0.0000 0.4632 0.0954 1
Bi1 0.0000 0.1040 0.1156 1
Bi2 0.0000 0.1822 0.5730 1
Bi3 0.0000 0.2649 0.7500 1
Bi4 0.0000 0.4647 0.2500 1
```


(5)
Starting from a PBE-relaxed structure, the X-ray powder pattern of Y4VBi2 was simulated for λ = 1.5418 Å (Cu Kα).
Lines closer than 0.1° are merged.

Largest 10 diffraction maxima, sorted by position, 2θ from 10° to 80°:
2θ/deg, I_rel, (hkl)
23.89, 375, 1 0 3
25.26, 650, 1 1 0
27.43, 508, 1 1 2
31.96, 348, 0 0 6
32.12, 272, 1 0 5
33.17, 1000, 1 1 4
36.02, 832, 2 0 0
48.91, 418, 2 0 6
51.86, 292, 2 2 0
62.96, 323, 3 1 4

Atomic structure:
```
data_Y4VBi2
_space_group_name_H-M_alt 'I 4/m m m'
_space_group_IT_number 139
_space_group_name_Hall '-I 4 2'
_cell_length_a 4.9868
_cell_length_b 4.9868
_cell_length_c 16.8003
_cell_angle_alpha 90.00
_cell_angle_beta 90.00
_cell_angle_gamma 90.00
loop_
_atom_site_label
_atom_site_fract_x
_atom_site_fract_y
_atom_site_fract_z
_atom_site_occupancy
Y1 0.0000 0.0000 0.1735 1
Y2 0.0000 0.5000 0.0000 1
V1 0.0000 0.0000 0.0000 1
Bi1 0.0000 0.0000 0.3589 1
```


(6)
Starting from a PBE-relaxed structure, the X-ray powder pattern of VZnBi was simulated for λ = 1.5418 Å (Cu Kα).
Lines closer than 0.1° are merged.

Largest 10 diffraction maxima, sorted by position, 2θ from 10° to 80°:
2θ/deg, I_rel, (hkl)
30.11, 452, 1 1 2
30.33, 1000, 1 3 1
32.29, 236, 0 4 1
33.06, 205, 2 0 0
38.43, 336, 2 2 1
39.38, 513, 0 2 3
41.23, 366, 2 0 2
43.11, 293, 1 5 1
57.38, 292, 2 6 0
59.25, 220, 2 4 3

Atomic structure:
```
data_VZnBi
_space_group_name_H-M_alt 'C m c e'
_space_group_IT_number 64
_space_group_name_Hall '-C 2ac 2'
_cell_length_a 5.4197
_cell_length_b 11.9533
_cell_length_c 7.4307
_cell_angle_alpha 90.00
_cell_angle_beta 90.00
_cell_angle_gamma 90.00
loop_
_atom_site_label
_atom_site_fract_x
_atom_site_fract_y
_atom_site_fract_z
_atom_site_occupancy
V1 0.0000 0.0859 0.0642 1
Zn1 0.2500 0.0684 0.7500 1
Bi1 0.0000 0.1718 0.4294 1
```


(7)
Starting from a PBE-relaxed structure, the X-ray powder pattern of V2ZnBi was simulated for λ = 1.5418 Å (Cu Kα).
Lines closer than 0.1° are merged.

Largest 10 diffraction maxima, sorted by position, 2θ from 10° to 80°:
2θ/deg, I_rel, (hkl)
23.25, 297, 1 1 1
26.91, 270, 2 0 0
38.42, 1000, 2 2 0
45.40, 166, 3 1 1
47.54, 85, 2 2 2
55.47, 168, 4 0 0
60.95, 73, 3 3 1
62.71, 117, 4 2 0
69.50, 338, 4 2 2
74.39, 58, 5 1 1

Atomic structure:
```
data_V2ZnBi
_space_group_name_H-M_alt 'F m -3 m'
_space_group_IT_number 225
_space_group_name_Hall '-F 4 2 3'
_cell_length_a 6.6262
_cell_length_b 6.6262
_cell_length_c 6.6262
_cell_angle_alpha 90.00
_cell_angle_beta 90.00
_cell_angle_gamma 90.00
loop_
_atom_site_label
_atom_site_fract_x
_atom_site_fract_y
_atom_site_fract_z
_atom_site_occupancy
V1 0.2500 0.2500 0.2500 1
Zn1 0.0000 0.0000 0.0000 1
Bi1 0.0000 0.0000 0.5000 1
```


(8)
Starting from a PBE-relaxed structure, the X-ray powder pattern of Y5Bi was simulated for λ = 1.5418 Å (Cu Kα).
Lines closer than 0.1° are merged.

Largest 10 diffraction maxima, sorted by position, 2θ from 10° to 80°:
2θ/deg, I_rel, (hkl)
31.24, 1000, 1 3 1
35.53, 175, 0 6 0
36.25, 167, 0 0 2
36.88, 160, 2 0 0
51.66, 128, 0 6 2
52.14, 116, 2 6 0
61.14, 143, 1 9 1
62.10, 139, 1 3 3
62.95, 131, 3 3 1
65.15, 130, 2 6 2

Atomic structure:
```
data_Y5Bi
_space_group_name_H-M_alt 'C m m m'
_space_group_IT_number 65
_space_group_name_Hall '-C 2 2'
_cell_length_a 4.8745
_cell_length_b 15.1605
_cell_length_c 4.9563
_cell_angle_alpha 90.00
_cell_angle_beta 90.00
_cell_angle_gamma 90.00
loop_
_atom_site_label
_atom_site_fract_x
_atom_site_fract_y
_atom_site_fract_z
_atom_site_occupancy
Y1 0.0000 0.0000 0.0000 1
Y2 0.0000 0.1626 0.5000 1
Y3 0.0000 0.3298 0.0000 1
Bi1 0.0000 0.5000 0.5000 1
```